The following is a calculated XRD peak list of LiCa12Zn6. It was derived from a cell relaxed with PBE, using CuKα.
Lines closer than 0.1° are merged.

Crystal structure
```
data_LiCa12Zn6
_symmetry_space_group_name_H-M 'I m -3'
_symmetry_Int_Tables_number 204
_symmetry_space_group_name_Hall '-I 2 2 3'
_cell_length_a 10.6248
_cell_length_b 10.6248
_cell_length_c 10.6248
_cell_angle_alpha 90.00
_cell_angle_beta 90.00
_cell_angle_gamma 90.00
loop_
_atom_site_label
_atom_site_fract_x
_atom_site_fract_y
_atom_site_fract_z
Li1 0.0000 0.0000 0.0000
Ca1 0.0000 0.2953 0.1871
Zn1 0.0000 0.1199 0.5000
```

Main lines, by intensity (10° ≤ 2θ ≤ 80°):
- hkl 3 1 2, 2.840 Å, 2θ = 31.5°, I = 100
- hkl 5 0 1, 2.084 Å, 2θ = 43.4°, I = 38
- hkl 1 1 0, 7.513 Å, 2θ = 11.8°, I = 38
- hkl 2 0 0, 5.312 Å, 2θ = 16.7°, I = 19
- hkl 2 2 2, 3.067 Å, 2θ = 29.1°, I = 18
- hkl 3 3 0, 2.504 Å, 2θ = 35.9°, I = 18
- hkl 6 0 0, 1.771 Å, 2θ = 51.6°, I = 17
- hkl 8 1 3, 1.235 Å, 2θ = 77.2°, I = 13